[1]
Simulated powder X-ray diffraction pattern
Compound: LiV4OF11
Radiation: Cu Kα (weighted mean of Kα1 and Kα2)
Structure: DFT lattice parameters and positions (GGA+U)

Crystal structure
```
LiV4OF11
1.0
5.194 0.000 0.000
2.587 4.863 0.000
2.373 -0.922 16.999
Li V O F
2 8 2 22
Direct
0.000 0.000 0.000
0.126 0.106 0.666
0.063 0.053 0.833
0.063 0.553 0.333
0.301 0.403 0.952
0.316 0.929 0.458
0.562 0.311 0.583
0.564 0.795 0.083
0.810 0.177 0.208
0.826 0.703 0.714
0.002 0.906 0.740
0.125 0.201 0.926
0.001 0.389 0.241
0.013 0.081 0.555
0.043 0.758 0.904
0.048 0.865 0.268
0.078 0.242 0.397
0.083 0.347 0.762
0.116 0.023 0.111
0.125 0.514 0.615
0.126 0.717 0.425
0.471 0.648 0.995
0.493 0.345 0.300
0.505 0.143 0.491
0.505 0.821 0.800
0.549 0.007 0.643
0.557 0.615 0.520
0.569 0.489 0.146
0.577 0.101 0.022
0.620 0.964 0.176
0.621 0.285 0.865
0.633 0.761 0.366
0.654 0.457 0.670
0.999 0.592 0.052
```

Most intense lines, 10 to 80 degrees two-theta, most intense first:
23.5 deg, I = 100; 23.8 deg, I = 50; 32.6 deg, I = 22; 52.8 deg, I = 16; 39.8 deg, I = 15; 39.9 deg, I = 13; 53.4 deg, I = 13; 33.0 deg, I = 10

---

[2]
Simulated powder X-ray diffraction pattern
Compound: Li2VO2F
Radiation: Cu Kα (weighted mean of Kα1 and Kα2)
Structure: DFT lattice parameters and positions (GGA+U)

Crystal structure
```
Li2VO2F
1.0
4.722 -2.077 0.000
4.722 2.077 0.000
-1.992 0.000 5.534
Li V O F
4 2 4 2
Direct
0.000 0.000 0.000
0.001 0.001 0.504
0.338 0.338 0.171
0.669 0.669 0.834
0.354 0.354 0.669
0.656 0.656 0.336
0.173 0.173 0.350
0.500 0.500 0.505
0.502 0.502 0.004
0.830 0.830 0.658
0.182 0.182 0.837
0.823 0.823 0.168
```

Most intense lines, 10 to 80 degrees two-theta, most intense first:
21.0 deg, I = 100; 30.6 deg, I = 99; 43.6 deg, I = 94; 42.7 deg, I = 92; 44.0 deg, I = 88; 62.7 deg, I = 69; 23.6 deg, I = 63; 16.0 deg, I = 55

---

[3]
Simulated powder X-ray diffraction pattern
Compound: Li2VO2F
Radiation: Cu Kα (weighted mean of Kα1 and Kα2)
Structure: DFT lattice parameters and positions (GGA+U)

Crystal structure
```
Li2VO2F
1.0
8.921 0.000 0.000
0.000 3.018 0.000
-2.962 0.000 8.552
Li V O F
8 4 8 4
Direct
0.000 0.000 0.000
0.003 0.000 0.266
0.220 0.500 0.213
0.249 0.500 0.537
0.501 0.000 0.490
0.503 0.000 0.788
0.757 0.500 0.730
0.777 0.500 0.042
0.004 0.000 0.635
0.248 0.500 0.882
0.501 0.000 0.113
0.763 0.500 0.387
0.008 0.500 0.789
0.248 0.000 0.726
0.268 0.000 0.044
0.497 0.500 0.970
0.732 0.000 0.231
0.754 0.000 0.540
0.998 0.500 0.133
0.998 0.500 0.480
0.269 0.000 0.391
0.501 0.500 0.292
0.502 0.500 0.631
0.739 0.000 0.872
```

Most intense lines, 10 to 80 degrees two-theta, most intense first:
12.1 deg, I = 100; 42.4 deg, I = 50; 24.3 deg, I = 30; 34.4 deg, I = 24; 42.9 deg, I = 22; 61.6 deg, I = 17; 61.5 deg, I = 12; 62.2 deg, I = 11

---

[4]
Simulated powder X-ray diffraction pattern
Compound: Li2V3O4F4
Radiation: Cu Kα (weighted mean of Kα1 and Kα2)
Structure: DFT lattice parameters and positions (GGA+U)

Crystal structure
```
Li2V3O4F4
1.0
5.060 0.000 0.000
-0.049 6.071 0.000
-0.156 -2.976 9.737
Li V O F
4 6 8 8
Direct
0.000 0.000 0.000
0.000 0.497 0.000
0.912 0.547 0.599
0.918 0.049 0.599
0.446 0.256 0.501
0.450 0.745 0.496
0.513 0.135 0.774
0.513 0.635 0.774
0.947 0.892 0.291
0.948 0.386 0.282
0.134 0.689 0.372
0.149 0.172 0.370
0.279 0.541 0.604
0.290 0.061 0.601
0.662 0.442 0.424
0.679 0.963 0.418
0.689 0.831 0.667
0.694 0.332 0.669
0.144 0.810 0.128
0.149 0.309 0.116
0.309 0.930 0.863
0.313 0.431 0.866
0.751 0.597 0.191
0.758 0.084 0.186
0.801 0.201 0.908
0.802 0.704 0.909
```

Most intense lines, 10 to 80 degrees two-theta, most intense first:
19.6 deg, I = 100; 19.9 deg, I = 81; 39.3 deg, I = 31; 33.1 deg, I = 27; 38.9 deg, I = 27; 32.5 deg, I = 27; 18.2 deg, I = 20; 35.7 deg, I = 20

---

[5]
Simulated powder X-ray diffraction pattern
Compound: Li2VO2F
Radiation: Cu Kα (weighted mean of Kα1 and Kα2)
Structure: DFT lattice parameters and positions (GGA+U)

Crystal structure
```
Li2VO2F
1.0
2.948 0.000 0.000
0.014 5.197 0.000
1.456 2.443 7.310
Li V O F
4 2 4 2
Direct
0.000 0.000 0.000
0.169 0.833 0.660
0.500 0.500 0.000
0.831 0.167 0.340
0.340 0.657 0.329
0.660 0.343 0.671
0.085 0.408 0.826
0.239 0.261 0.510
0.761 0.739 0.490
0.915 0.592 0.174
0.415 0.075 0.169
0.585 0.925 0.831
```

Most intense lines, 10 to 80 degrees two-theta, most intense first:
18.2 deg, I = 100; 43.3 deg, I = 94; 42.2 deg, I = 52; 12.1 deg, I = 47; 62.1 deg, I = 26; 18.0 deg, I = 22; 35.5 deg, I = 19; 34.9 deg, I = 19

---

[6]
Simulated powder X-ray diffraction pattern
Compound: Li7V4O11F
Radiation: Cu Kα (weighted mean of Kα1 and Kα2)
Structure: DFT lattice parameters and positions (GGA+U)

Crystal structure
```
Li7V4O11F
1.0
5.030 0.000 0.000
-2.224 4.558 0.000
-0.507 -0.964 9.340
Li V O F
7 4 11 1
Direct
0.000 0.000 0.000
0.079 0.389 0.246
0.162 0.793 0.496
0.248 0.223 0.751
0.508 0.502 0.501
0.662 0.281 0.987
0.771 0.724 0.248
0.350 0.653 0.996
0.436 0.089 0.246
0.853 0.130 0.496
0.928 0.602 0.758
0.018 0.344 0.888
0.123 0.726 0.135
0.125 0.467 0.617
0.135 0.107 0.376
0.262 0.901 0.869
0.396 0.354 0.130
0.506 0.837 0.389
0.636 0.595 0.878
0.686 0.000 0.119
0.776 0.399 0.369
0.888 0.857 0.623
0.564 0.228 0.631
```

Most intense lines, 10 to 80 degrees two-theta, most intense first:
21.1 deg, I = 100; 20.9 deg, I = 95; 41.0 deg, I = 75; 44.8 deg, I = 63; 45.4 deg, I = 59; 22.7 deg, I = 55; 28.4 deg, I = 48; 28.2 deg, I = 47

---

[7]
Simulated powder X-ray diffraction pattern
Compound: Li5VO4F
Radiation: Cu Kα (weighted mean of Kα1 and Kα2)
Structure: DFT lattice parameters and positions (GGA+U)

Crystal structure
```
Li5VO4F
1.0
2.896 -4.505 0.000
2.896 4.505 0.000
-1.851 0.000 8.760
Li V O F
10 2 8 2
Direct
0.019 0.357 0.309
0.118 0.882 0.500
0.236 0.472 0.611
0.357 0.019 0.809
0.389 0.714 0.995
0.472 0.236 0.111
0.649 0.962 0.623
0.714 0.389 0.495
0.882 0.118 0.000
0.962 0.649 0.123
0.631 0.816 0.327
0.816 0.631 0.827
0.118 0.896 0.973
0.365 0.691 0.443
0.559 0.779 0.803
0.666 0.986 0.163
0.691 0.365 0.943
0.779 0.559 0.303
0.896 0.118 0.473
0.986 0.666 0.663
0.211 0.444 0.125
0.444 0.211 0.625
```

Most intense lines, 10 to 80 degrees two-theta, most intense first:
22.2 deg, I = 100; 18.5 deg, I = 95; 25.0 deg, I = 82; 41.4 deg, I = 48; 40.0 deg, I = 37; 29.9 deg, I = 31; 46.9 deg, I = 31; 56.3 deg, I = 24

---

[8]
Simulated powder X-ray diffraction pattern
Compound: LiVO2F
Radiation: Cu Kα (weighted mean of Kα1 and Kα2)
Structure: DFT lattice parameters and positions (GGA+U)

Crystal structure
```
LiVO2F
1.0
13.899 0.000 0.000
0.000 3.507 0.000
0.000 0.000 4.935
Li V O F
4 4 8 4
Direct
0.172 0.250 0.128
0.328 0.750 0.628
0.672 0.250 0.372
0.828 0.750 0.872
0.083 0.750 0.594
0.417 0.250 0.094
0.583 0.750 0.906
0.917 0.250 0.406
0.061 0.250 0.431
0.112 0.750 0.922
0.388 0.250 0.422
0.439 0.750 0.931
0.561 0.250 0.069
0.612 0.750 0.578
0.888 0.250 0.078
0.939 0.750 0.569
0.209 0.750 0.414
0.291 0.250 0.914
0.709 0.750 0.086
0.791 0.250 0.586
```

Most intense lines, 10 to 80 degrees two-theta, most intense first:
19.1 deg, I = 100; 28.5 deg, I = 60; 12.7 deg, I = 30; 31.3 deg, I = 21; 33.9 deg, I = 19; 32.0 deg, I = 19; 49.5 deg, I = 19; 52.2 deg, I = 18